Starting from DFT lattice parameters and positions (PBE), the X-ray diffraction stick pattern of Ce3PuSe4 was calculated for Cu Kα X-rays.

Structural model:
abc: 5.921 5.921 5.921
angles: 90.00 90.00 90.00
Space group Pm-3m (No. 221)
Asymmetric unit:
Ce  0.000  0.000  0.500
Pu  0.500  0.500  0.500
Se  0.000  0.000  0.000
Se  0.000  0.500  0.500

Principal peaks in the range 15° ≤ 2θ ≤ 90°, in order of rising 2θ:
- d 4.187, 21.22°, rel. 4
- d 3.418, 26.07°, rel. 22
- d 2.960, 30.19°, rel. 100
- d 2.093, 43.22°, rel. 75
- d 1.785, 51.17°, rel. 11
- d 1.709, 53.62°, rel. 27
- d 1.480, 62.78°, rel. 12
- d 1.358, 69.16°, rel. 5
- d 1.324, 71.23°, rel. 34
- d 1.209, 79.27°, rel. 26